Entry 1:
Calculated powder XRD pattern
Compound: RbHo2CuTe3S
Radiation: λ = 1.5418 Å (Cu Kα)
Structure: a structure optimized by DFT (GGA-PBE)
Kinematic intensities with the Lorentz-polarization factor, no thermal factor.

Peak list (12 most intense, 10 to 90 degrees two-theta, by intensity)
Position (°2θ)	I/Imax
28.44	100.0
30.20	71.1
40.60	59.9
41.20	54.5
13.27	47.8
42.91	43.1
26.11	37.8
32.95	35.8
35.01	32.7
31.49	31.3
21.92	30.6
21.08	28.6

Structural model:
Unit cell a=7.700 b=7.700 c=15.380 alpha=90.00 beta=90.00 gamma=148.22
Element x y z (fractional)
Rb: 0.126 0.874 0.750
Rb: 0.874 0.126 0.250
Ho: 0.382 0.618 0.560
Ho: 0.382 0.618 0.940
Ho: 0.618 0.382 0.060
Ho: 0.618 0.382 0.440
Cu: 0.160 0.840 0.250
Cu: 0.840 0.160 0.750
Te: 0.257 0.743 0.106
Te: 0.257 0.743 0.394
Te: 0.442 0.558 0.750
Te: 0.558 0.442 0.250
Te: 0.743 0.257 0.606
Te: 0.743 0.257 0.894
S: 0.000 0.000 0.000
S: 0.000 0.000 0.500


Entry 2:
Calculated powder XRD pattern
Compound: RbHo2CuTeSe3
Radiation: λ = 1.5418 Å (Cu Kα)
Structure: a structure optimized by DFT (GGA-PBE)
Kinematic intensities with the Lorentz-polarization factor, no thermal factor.

Peak list (12 most intense, 10 to 90 degrees two-theta, by intensity)
Position (°2θ)	I/Imax
30.74	100.0
28.84	57.1
42.16	46.5
13.63	40.4
43.13	30.8
32.89	26.3
37.89	25.3
21.91	22.8
27.22	22.4
41.71	22.1
41.94	19.3
36.70	15.4

Structural model:
Unit cell a=7.540 b=7.540 c=14.693 alpha=90.00 beta=90.00 gamma=147.69
Element x y z (fractional)
Rb: 0.128 0.872 0.750
Rb: 0.872 0.128 0.250
Ho: 0.367 0.633 0.557
Ho: 0.367 0.633 0.943
Ho: 0.633 0.367 0.057
Ho: 0.633 0.367 0.443
Cu: 0.164 0.836 0.250
Cu: 0.836 0.164 0.750
Te: 0.440 0.560 0.750
Te: 0.560 0.440 0.250
Se: 0.000 0.000 0.000
Se: 0.000 0.000 0.500
Se: 0.257 0.743 0.107
Se: 0.257 0.743 0.393
Se: 0.743 0.257 0.607
Se: 0.743 0.257 0.893


Entry 3:
Calculated powder XRD pattern
Compound: SrHoCuTeS2
Radiation: λ = 1.5418 Å (Cu Kα)
Structure: a structure optimized by DFT (GGA-PBE)
Kinematic intensities with the Lorentz-polarization factor, no thermal factor.

Peak list (12 most intense, 10 to 90 degrees two-theta, by intensity)
Position (°2θ)	I/Imax
33.71	100.0
12.49	83.0
30.43	62.4
33.06	39.0
42.50	36.5
23.13	28.9
20.63	27.6
40.73	26.8
45.40	23.3
53.46	21.4
57.28	20.2
35.47	17.7

Structural model:
Unit cell a=7.366 b=7.366 c=10.840 alpha=90.00 beta=90.00 gamma=148.53
Element x y z (fractional)
Sr: 0.213 0.787 0.750
Sr: 0.787 0.213 0.250
Ho: 0.000 0.000 0.000
Ho: 0.000 0.000 0.500
Cu: 0.478 0.522 0.250
Cu: 0.522 0.478 0.750
Te: 0.100 0.900 0.250
Te: 0.900 0.100 0.750
S: 0.380 0.620 0.077
S: 0.380 0.620 0.423
S: 0.620 0.380 0.577
S: 0.620 0.380 0.923


Entry 4:
Calculated powder XRD pattern
Compound: HoScCu2Sn2
Radiation: λ = 1.5418 Å (Cu Kα)
Structure: a structure optimized by DFT (GGA-PBE)
Kinematic intensities with the Lorentz-polarization factor, no thermal factor.

Peak list (12 most intense, 10 to 90 degrees two-theta, by intensity)
Position (°2θ)	I/Imax
34.53	100.0
40.41	82.2
26.32	46.6
54.18	27.3
69.71	25.5
45.32	24.7
67.98	15.9
73.48	13.9
12.62	11.7
76.94	10.7
71.54	10.5
62.32	9.7

Structural model:
Unit cell a=4.464 b=4.464 c=7.015 alpha=90.00 beta=90.00 gamma=120.00
Element x y z (fractional)
Ho: 0.000 0.000 0.000
Sc: 0.000 0.000 0.499
Cu: 0.333 0.667 0.327
Cu: 0.667 0.333 0.812
Sn: 0.333 0.667 0.721
Sn: 0.667 0.333 0.240